No. 1
Diffraction record for Na4Sr2SiP4. The powder XRD pattern is simulated, not measured: it uses a crystal structure in the Materials Project, relaxed with GGA-PBE and Cu Kα X-rays.

Principal peaks in the range 2θ = 10–80°, in order of rising 2θ:
2θ (°)	Rel. int.
10.9	100
31.7	31
31.8	35
32.9	42
33.1	81
35.6	30
38.5	40
38.6	53

Cell and atoms:
Cell lengths 9.3176, 9.3176, 7.3134 Å; angles 90.28, 90.28, 119.78 degrees
Fractional positions:
Na  0.0716  0.9284  0.5000
Na  0.3183  0.8451  0.1912
Na  0.5055  0.6582  0.0217
Na  0.6538  0.9430  0.5160
Na  0.6582  0.5055  0.5217
Na  0.8451  0.3183  0.6912
Na  0.9284  0.0716  0.0000
Na  0.9430  0.6538  0.0160
Sr  0.2578  0.3130  0.6902
Sr  0.2616  0.7407  0.6899
Sr  0.3130  0.2578  0.1902
Sr  0.7407  0.2616  0.1899
Si  0.1295  0.4652  0.3048
Si  0.4652  0.1295  0.8048
P  0.1286  0.4536  0.9882
P  0.1868  0.9883  0.8963
P  0.4000  0.5941  0.4080
P  0.4536  0.1286  0.4882
P  0.5917  0.9861  0.9010
P  0.5941  0.4000  0.9080
P  0.9861  0.5917  0.4010
P  0.9883  0.1868  0.3963

No. 2
Diffraction record for Gd3BiO3. The powder XRD pattern is simulated, not measured: it uses a crystal structure in the Materials Project, relaxed with GGA-PBE and Cu Kα X-rays.

Principal peaks in the range 2θ = 10–80°, in order of rising 2θ:
2θ (°)	Rel. int.
29.6	55
30.1	55
30.8	100
31.3	90
46.3	22
53.6	19
55.9	20
56.2	19

Cell and atoms:
Cell lengths 7.0399, 7.0399, 12.0859 Å; angles 117.28, 117.28, 32.34 degrees
Fractional positions:
Gd  0.1226  0.1226  0.4400
Gd  0.1286  0.1286  0.9038
Gd  0.3461  0.3461  0.7953
Gd  0.6539  0.6539  0.2047
Gd  0.8714  0.8714  0.0962
Gd  0.8774  0.8774  0.5600
Bi  0.3827  0.3827  0.3217
Bi  0.6173  0.6173  0.6783
O  0.0616  0.0616  0.1933
O  0.3085  0.3085  0.5928
O  0.3355  0.3355  0.9837
O  0.6645  0.6645  0.0163
O  0.6915  0.6915  0.4072
O  0.9384  0.9384  0.8067

No. 3
Diffraction record for GdB2Ir3. The powder XRD pattern is simulated, not measured: it uses a crystal structure in the Materials Project, relaxed with GGA-PBE and Cu Kα X-rays.

Principal peaks in the range 2θ = 10–80°, in order of rising 2θ:
2θ (°)	Rel. int.
28.3	21
34.1	58
37.8	100
43.7	34
47.9	36
59.1	25
68.2	19
71.8	31

Cell and atoms:
Cell lengths 5.5031, 5.5031, 3.1502 Å; angles 90.00, 90.00, 120.00 degrees
Fractional positions:
Gd  0.0000  0.0000  0.0000
B  0.3333  0.6667  0.0000
B  0.6667  0.3333  0.0000
Ir  0.0000  0.5000  0.5000
Ir  0.5000  0.0000  0.5000
Ir  0.5000  0.5000  0.5000

No. 4
Diffraction record for SbIrXeF12. The powder XRD pattern is simulated, not measured: it uses a crystal structure in the Materials Project, relaxed with GGA-PBE and Cu Kα X-rays.

Principal peaks in the range 2θ = 10–80°, in order of rising 2θ:
2θ (°)	Rel. int.
18.4	82
21.5	41
21.8	100
24.7	32
27.4	22
30.1	17
34.2	17
37.9	17

Cell and atoms:
Cell lengths 11.2614, 11.2614, 8.2528 Å; angles 90.04, 90.04, 148.19 degrees
Fractional positions:
Sb  0.0829  0.9171  0.5000
Sb  0.9171  0.0829  0.0000
Ir  0.0103  0.5028  0.0654
Ir  0.5028  0.0103  0.5654
Xe  0.4089  0.5988  0.5001
Xe  0.5988  0.4089  0.0001
F  0.0257  0.4748  0.2852
F  0.1093  0.2921  0.8268
F  0.1489  0.3102  0.1540
F  0.1516  0.7699  0.1062
F  0.2087  0.8471  0.5223
F  0.2904  0.6683  0.0232
F  0.2921  0.1093  0.3268
F  0.3102  0.1489  0.6540
F  0.3232  0.7094  0.6058
F  0.4712  0.4921  0.4048
F  0.4748  0.0257  0.7852
F  0.4921  0.4712  0.9048
F  0.5098  0.9725  0.3472
F  0.6683  0.2904  0.5232
F  0.6726  0.8706  0.8510
F  0.7094  0.3232  0.1058
F  0.7087  0.8862  0.1726
F  0.7699  0.1516  0.6062
F  0.8471  0.2087  0.0223
F  0.8706  0.6726  0.3510
F  0.8862  0.7087  0.6726
F  0.9725  0.5098  0.8472
F  0.9752  0.9840  0.4855
F  0.9840  0.9752  0.9855